# VTeRu
Calculated powder XRD pattern, Cu Kα, 1.54184 Å. Input: the GGA-PBE geometry in the Materials Project.
Neutral-atom scattering factors, no anomalous dispersion.

Cell and atoms:
```
data_VTeRu
_space_group_name_H-M_alt 'F -4 3 m'
_space_group_IT_number 216
_space_group_name_Hall 'F -4 2 3'
_cell_length_a 6.077
_cell_length_b 6.077
_cell_length_c 6.077
_cell_angle_alpha 90.00
_cell_angle_beta 90.00
_cell_angle_gamma 90.00
loop_
_atom_site_label
_atom_site_type_symbol
_atom_site_fract_x
_atom_site_fract_y
_atom_site_fract_z
V1 V 0.000 0.000 0.000
Te1 Te 0.000 0.000 0.500
Ru1 Ru 0.250 0.250 0.250
```

Top 10 peaks for 2θ = 10–90°, sorted by position:
two_theta, I/Imax, hkl
25.4, 54, 1 1 1
29.4, 9, 2 0 0
42.1, 100, 2 2 0
49.8, 26, 3 1 1
52.1, 2, 2 2 2
61.0, 16, 4 0 0
67.1, 11, 3 3 1
69.1, 3, 4 2 0
76.9, 32, 4 2 2
82.5, 8, 5 1 1